For Ac4S3, a cell relaxed with GGA-PBE gives the calculated X-ray diffraction stick pattern in this record (Cu Kα X-rays).
Lines closer than 0.1° are merged.

Main lines, in order of falling intensity (2θ = 10–90°):
2θ = 25.45°, I 100.0, hkl 1 1 1
2θ = 29.47°, I 83.9, hkl 2 0 0
2θ = 42.17°, I 64.0, hkl 2 2 0
2θ = 49.90°, I 52.1, hkl 3 1 1
2θ = 69.33°, I 30.0, hkl 4 2 0
2θ = 52.28°, I 23.0, hkl 2 2 2
2θ = 77.08°, I 22.5, hkl 4 2 2
2θ = 67.33°, I 21.8, hkl 3 3 1
2θ = 82.73°, I 16.9, hkl 5 1 1
2θ = 61.16°, I 10.8, hkl 4 0 0
2θ = 14.61°, I 0.6, hkl 1 0 0
2θ = 20.72°, I 0.5, hkl 1 1 0

Cell and atoms:
```
data_Ac4S3
_chemical_formula_sum 'Ac4 S3'
_space_group_name_H-M_alt 'P m -3 m'
_space_group_IT_number 221
_space_group_name_Hall '-P 4 2 3'
_cell_length_a 6.0617
_cell_length_b 6.0617
_cell_length_c 6.0617
_cell_angle_alpha 90.00
_cell_angle_beta 90.00
_cell_angle_gamma 90.00
loop_
_atom_site_label
_atom_site_fract_x
_atom_site_fract_y
_atom_site_fract_z
Ac1 0.0000 0.0000 0.0000
Ac2 0.0000 0.5000 0.5000
S1 0.0000 0.0000 0.5000
```